Ce4TlPb4: computed powder diffractogram (copper Kα), based on a PBE-relaxed structure.
Kinematic intensities with the Lorentz-polarization factor, no thermal factor.

Most intense lines, 2θ = 10–90°, by intensity:
| 2theta | I (rel.) | (hkl) |
| --- | --- | --- |
| 31.29 | 100 | 3 1 0 |
| 34.47 | 53 | 2 1 2 |
| 44.88 | 49 | 2 4 0 |
| 28.03 | 37 | 1 0 2 |
| 41.26 | 24 | 1 3 2 |
| 30.92 | 23 | 2 2 1 |
| 66.11 | 20 | 4 3 3 |
| 32.50 | 17 | 3 0 1 |
| 34.02 | 16 | 1 3 1 |
| 49.47 | 14 | 1 4 2 |
| 16.31 | 14 | 1 0 1 |
| 32.96 | 13 | 2 0 2 |

Structure:
```
data_Ce4TlPb4
_cell_length_a 9.0387
_cell_length_b 9.0387
_cell_length_c 6.8013
_cell_angle_alpha 90.00
_cell_angle_beta 90.00
_cell_angle_gamma 90.00
_symmetry_space_group_name_H-M 'P 42/n'
_symmetry_Int_Tables_number 86
loop_
_symmetry_equiv_pos_as_xyz
'x,y,z'
'-x,-y,-z'
'-y,x+1/2,z+1/2'
'y,-x+1/2,-z+1/2'
'-x+1/2,-y+1/2,z'
'x+1/2,y+1/2,-z'
'y+1/2,-x,z+1/2'
'-y+1/2,x,-z+1/2'
loop_
_atom_site_label
_atom_site_type_symbol
_atom_site_fract_x
_atom_site_fract_y
_atom_site_fract_z
Ce1 Ce 0.0179 0.1407 0.0856
Tl1 Tl 0.2500 0.2500 0.7500
Pb1 Pb 0.0479 0.8392 0.4252
```

***

Ce2TlPb5: computed powder diffractogram (copper Kα), based on a PBE-relaxed structure.
Kinematic intensities with the Lorentz-polarization factor, no thermal factor.

Most intense lines, 2θ = 10–90°, by intensity:
| 2theta | I (rel.) | (hkl) |
| --- | --- | --- |
| 31.72 | 100 | 0 4 1 |
| 36.93 | 33 | 2 4 0 |
| 63.30 | 28 | 2 8 1 |
| 52.90 | 24 | 2 4 2 |
| 36.50 | 17 | 0 0 2 |
| 62.72 | 15 | 0 4 3 |
| 66.26 | 12 | 0 8 2 |
| 53.22 | 12 | 0 8 0 |
| 86.72 | 6 | 2 8 3 |
| 86.75 | 6 | 4 4 3 |
| 89.16 | 6 | 2 4 4 |
| 89.93 | 6 | 4 8 2 |

Structure:
```
data_Ce2TlPb5
_cell_length_a 6.8805
_cell_length_b 13.7751
_cell_length_c 4.9231
_cell_angle_alpha 90.00
_cell_angle_beta 90.00
_cell_angle_gamma 90.00
_symmetry_space_group_name_H-M 'P b a m'
_symmetry_Int_Tables_number 55
_symmetry_space_group_name_Hall '-P 2 2ab'
loop_
_atom_site_label
_atom_site_type_symbol
_atom_site_fract_x
_atom_site_fract_y
_atom_site_fract_z
Ce1 Ce 0.2430 0.1269 0.0000
Tl1 Tl 0.0000 0.5000 0.5000
Pb1 Pb 0.0000 0.0000 0.5000
Pb2 Pb 0.0065 0.7492 0.5000
Pb3 Pb 0.2435 0.3768 0.0000
```

***

Ce4Tl2Pb: computed powder diffractogram (copper Kα), based on a PBE-relaxed structure.
Kinematic intensities with the Lorentz-polarization factor, no thermal factor.

Most intense lines, 2θ = 10–90°, by intensity:
| 2theta | I (rel.) | (hkl) |
| --- | --- | --- |
| 31.86 | 100 | 1 3 1 |
| 37.57 | 100 | 1 7 0 |
| 30.11 | 93 | 2 0 0 |
| 28.64 | 80 | 1 5 0 |
| 30.88 | 65 | 0 4 1 |
| 43.67 | 51 | 2 4 1 |
| 63.09 | 41 | 1 7 2 |
| 58.33 | 29 | 2 0 2 |
| 58.49 | 28 | 3 7 0 |
| 56.41 | 27 | 2 8 1 |
| 48.70 | 25 | 0 0 2 |
| 46.52 | 24 | 0 8 1 |

Structure:
```
data_Ce4Tl2Pb
_cell_length_a 5.9354
_cell_length_b 18.3123
_cell_length_c 3.7395
_cell_angle_alpha 90.00
_cell_angle_beta 90.00
_cell_angle_gamma 90.00
_symmetry_space_group_name_H-M 'C m m m'
_symmetry_Int_Tables_number 65
_symmetry_space_group_name_Hall '-C 2 2'
loop_
_atom_site_label
_atom_site_type_symbol
_atom_site_fract_x
_atom_site_fract_y
_atom_site_fract_z
Ce1 Ce 0.0000 0.1692 0.0000
Ce2 Ce 0.0000 0.2743 0.5000
Tl1 Tl 0.0000 0.4221 0.0000
Pb1 Pb 0.0000 0.0000 0.5000
```

***

Ce5Tl5Pb: computed powder diffractogram (copper Kα), based on a PBE-relaxed structure.
Kinematic intensities with the Lorentz-polarization factor, no thermal factor.

Most intense lines, 2θ = 10–90°, by intensity:
| 2theta | I (rel.) | (hkl) |
| --- | --- | --- |
| 35.09 | 100 | 1 2 3 |
| 29.60 | 70 | 2 0 0 |
| 30.34 | 43 | 0 0 6 |
| 42.90 | 33 | 2 0 6 |
| 56.13 | 31 | 3 2 3 |
| 28.63 | 19 | 1 1 4 |
| 28.82 | 17 | 0 1 5 |
| 21.07 | 14 | 1 0 3 |
| 27.73 | 14 | 0 2 0 |
| 41.79 | 13 | 2 1 5 |
| 57.02 | 12 | 1 2 9 |
| 74.15 | 11 | 2 4 6 |

Structure:
```
data_Ce5Tl5Pb
_cell_length_a 6.0356
_cell_length_b 6.4341
_cell_length_c 17.6735
_cell_angle_alpha 90.00
_cell_angle_beta 90.00
_cell_angle_gamma 90.00
_symmetry_space_group_name_H-M 'I m m m'
_symmetry_Int_Tables_number 71
_symmetry_space_group_name_Hall '-I 2 2'
loop_
_atom_site_label
_atom_site_type_symbol
_atom_site_fract_x
_atom_site_fract_y
_atom_site_fract_z
Ce1 Ce 0.0000 0.0000 0.0000
Ce2 Ce 0.0000 0.2805 0.3341
Tl1 Tl 0.0000 0.0000 0.1805
Tl2 Tl 0.0000 0.0000 0.5000
Tl3 Tl 0.0000 0.5000 0.1371
Pb1 Pb 0.0000 0.5000 0.5000
```

***

CeTmPb3: computed powder diffractogram (copper Kα), based on a PBE-relaxed structure.
Kinematic intensities with the Lorentz-polarization factor, no thermal factor.

Most intense lines, 2θ = 10–90°, by intensity:
| 2theta | I (rel.) | (hkl) |
| --- | --- | --- |
| 29.62 | 100 | 2 2 1 |
| 32.05 | 69 | 0 3 1 |
| 24.94 | 67 | 1 2 1 |
| 37.08 | 67 | 2 3 1 |
| 31.13 | 63 | 2 0 2 |
| 33.27 | 60 | 1 2 2 |
| 32.68 | 58 | 2 1 2 |
| 30.19 | 52 | 3 0 1 |
| 26.70 | 42 | 1 0 2 |
| 33.37 | 38 | 1 3 1 |
| 41.97 | 37 | 4 2 0 |
| 43.95 | 35 | 4 2 1 |

Structure:
```
data_CeTmPb3
_cell_length_a 9.7699
_cell_length_b 9.1098
_cell_length_c 7.1057
_cell_angle_alpha 90.00
_cell_angle_beta 90.00
_cell_angle_gamma 90.00
_symmetry_space_group_name_H-M 'P n m a'
_symmetry_Int_Tables_number 62
_symmetry_space_group_name_Hall '-P 2ac 2n'
loop_
_atom_site_label
_atom_site_type_symbol
_atom_site_fract_x
_atom_site_fract_y
_atom_site_fract_z
Ce1 Ce 0.0923 0.2500 0.0575
Tm1 Tm 0.0000 0.0000 0.5000
Pb1 Pb 0.1617 0.7500 0.2404
Pb2 Pb 0.2031 0.5629 0.8430
```

***

Ce2Tm2Pb5: computed powder diffractogram (copper Kα), based on a PBE-relaxed structure.
Kinematic intensities with the Lorentz-polarization factor, no thermal factor.

Most intense lines, 2θ = 10–90°, by intensity:
| 2theta | I (rel.) | (hkl) |
| --- | --- | --- |
| 34.87 | 100 | 1 5 2 |
| 35.04 | 74 | 1 6 1 |
| 33.09 | 65 | 2 3 1 |
| 29.11 | 54 | 0 1 3 |
| 33.52 | 53 | 1 2 3 |
| 33.71 | 46 | 2 0 2 |
| 27.59 | 42 | 2 0 0 |
| 29.68 | 41 | 2 1 1 |
| 52.66 | 34 | 2 4 4 |
| 27.91 | 33 | 0 4 2 |
| 53.63 | 30 | 3 5 2 |
| 63.27 | 28 | 2 5 5 |

Structure:
```
data_Ce2Tm2Pb5
_cell_length_a 6.4655
_cell_length_b 17.5302
_cell_length_c 9.3485
_cell_angle_alpha 90.00
_cell_angle_beta 90.00
_cell_angle_gamma 90.00
_symmetry_space_group_name_H-M 'I m m a'
_symmetry_Int_Tables_number 74
_symmetry_space_group_name_Hall '-I 2b 2'
loop_
_atom_site_label
_atom_site_type_symbol
_atom_site_fract_x
_atom_site_fract_y
_atom_site_fract_z
Ce1 Ce 0.0000 0.0651 0.0799
Tm1 Tm 0.0000 0.0000 0.5000
Tm2 Tm 0.0000 0.2500 0.6653
Pb1 Pb 0.0000 0.1613 0.3693
Pb2 Pb 0.0000 0.2500 0.0483
Pb3 Pb 0.2500 0.0900 0.7500
```

***

Ce3YPb4: computed powder diffractogram (copper Kα), based on a PBE-relaxed structure.
Kinematic intensities with the Lorentz-polarization factor, no thermal factor.

Most intense lines, 2θ = 10–90°, by intensity:
| 2theta | I (rel.) | (hkl) |
| --- | --- | --- |
| 34.01 | 100 | 1 0 4 |
| 30.39 | 67 | 1 1 0 |
| 56.35 | 48 | 2 1 4 |
| 43.52 | 26 | 2 0 0 |
| 63.05 | 17 | 1 1 8 |
| 89.75 | 14 | 3 2 4 |
| 71.77 | 12 | 3 1 0 |
| 71.59 | 12 | 2 0 8 |
| 73.79 | 11 | 3 0 4 |
| 63.24 | 9 | 2 2 0 |
| 21.36 | 8 | 1 0 0 |
| 87.66 | 7 | 2 2 8 |

Structure:
```
data_Ce3YPb4
_cell_length_a 4.1591
_cell_length_b 4.1591
_cell_length_c 13.6315
_cell_angle_alpha 90.00
_cell_angle_beta 90.00
_cell_angle_gamma 90.00
_symmetry_space_group_name_H-M 'P 4/m m m'
_symmetry_Int_Tables_number 123
_symmetry_space_group_name_Hall '-P 4 2'
loop_
_atom_site_label
_atom_site_type_symbol
_atom_site_fract_x
_atom_site_fract_y
_atom_site_fract_z
Ce1 Ce 0.0000 0.0000 0.0000
Ce2 Ce 0.0000 0.0000 0.2454
Y1 Y 0.0000 0.0000 0.5000
Pb1 Pb 0.5000 0.5000 0.1226
Pb2 Pb 0.5000 0.5000 0.3780
```

***

Ce5YPb6: computed powder diffractogram (copper Kα), based on a PBE-relaxed structure.
Kinematic intensities with the Lorentz-polarization factor, no thermal factor.

Most intense lines, 2θ = 10–90°, by intensity:
| 2theta | I (rel.) | (hkl) |
| --- | --- | --- |
| 34.19 | 100 | 1 2 3 |
| 30.14 | 69 | 2 0 0 |
| 56.17 | 49 | 3 2 3 |
| 43.15 | 26 | 2 0 6 |
| 63.64 | 17 | 2 4 0 |
| 71.10 | 12 | 4 0 6 |
| 72.02 | 12 | 2 4 6 |
| 73.36 | 11 | 3 2 9 |
| 62.67 | 9 | 4 0 0 |
| 89.15 | 7 | 5 2 3 |
| 89.04 | 7 | 1 2 15 |
| 21.19 | 7 | 1 0 3 |

Structure:
```
data_Ce5YPb6
_cell_length_a 5.9261
_cell_length_b 6.7228
_cell_length_c 17.7993
_cell_angle_alpha 90.00
_cell_angle_beta 90.00
_cell_angle_gamma 90.00
_symmetry_space_group_name_H-M 'I m m m'
_symmetry_Int_Tables_number 71
_symmetry_space_group_name_Hall '-I 2 2'
loop_
_atom_site_label
_atom_site_type_symbol
_atom_site_fract_x
_atom_site_fract_y
_atom_site_fract_z
Ce1 Ce 0.0000 0.0000 0.0000
Ce2 Ce 0.0000 0.0000 0.3348
Ce3 Ce 0.0000 0.5000 0.3326
Y1 Y 0.0000 0.5000 0.0000
Pb1 Pb 0.0000 0.2473 0.5000
Pb2 Pb 0.0000 0.2516 0.1658
```

***

Ce3Y2Pb6: computed powder diffractogram (copper Kα), based on a PBE-relaxed structure.
Kinematic intensities with the Lorentz-polarization factor, no thermal factor.

Most intense lines, 2θ = 10–90°, by intensity:
| 2theta | I (rel.) | (hkl) |
| --- | --- | --- |
| 29.94 | 100 | 2 0 0 |
| 22.54 | 52 | 1 1 2 |
| 31.96 | 51 | 1 0 7 |
| 32.19 | 43 | 1 1 6 |
| 44.36 | 41 | 2 1 7 |
| 42.85 | 38 | 2 2 0 |
| 38.81 | 28 | 2 0 6 |
| 54.59 | 23 | 3 1 6 |
| 66.83 | 19 | 2 0 14 |
| 70.56 | 18 | 4 2 0 |
| 48.94 | 14 | 3 1 2 |
| 63.38 | 14 | 3 2 7 |

Structure:
```
data_Ce3Y2Pb6
_cell_length_a 5.9695
_cell_length_b 5.9695
_cell_length_c 22.1918
_cell_angle_alpha 90.00
_cell_angle_beta 90.00
_cell_angle_gamma 90.00
_symmetry_space_group_name_H-M 'I 4/m m m'
_symmetry_Int_Tables_number 139
_symmetry_space_group_name_Hall '-I 4 2'
loop_
_atom_site_label
_atom_site_type_symbol
_atom_site_fract_x
_atom_site_fract_y
_atom_site_fract_z
Ce1 Ce 0.0000 0.0000 0.0000
Ce2 Ce 0.0000 0.0000 0.1449
Y1 Y 0.0000 0.0000 0.4238
Pb1 Pb 0.0000 0.0000 0.2881
Pb2 Pb 0.0000 0.5000 0.0750
```

***

Ce7Pd3: computed powder diffractogram (copper Kα), based on a PBE-relaxed structure.
Kinematic intensities with the Lorentz-polarization factor, no thermal factor.

Most intense lines, 2θ = 10–90°, by intensity:
| 2theta | I (rel.) | (hkl) |
| --- | --- | --- |
| 31.28 | 100 | 2 1 1 |
| 34.73 | 84 | 3 0 1 |
| 35.78 | 72 | 2 0 2 |
| 36.53 | 57 | 2 2 0 |
| 30.65 | 43 | 1 0 2 |
| 55.55 | 24 | 3 2 2 |
| 55.95 | 23 | 5 0 1 |
| 31.49 | 21 | 3 0 0 |
| 70.68 | 20 | 5 2 1 |
| 51.28 | 20 | 4 1 1 |
| 65.70 | 19 | 3 2 3 |
| 56.08 | 17 | 3 3 0 |

Structure:
```
data_Ce7Pd3
_cell_length_a 9.8400
_cell_length_b 9.8400
_cell_length_c 6.2098
_cell_angle_alpha 90.00
_cell_angle_beta 90.00
_cell_angle_gamma 120.00
_symmetry_space_group_name_H-M 'P 63 m c'
_symmetry_Int_Tables_number 186
_symmetry_space_group_name_Hall 'P 6c -2c'
loop_
_atom_site_label
_atom_site_type_symbol
_atom_site_fract_x
_atom_site_fract_y
_atom_site_fract_z
Ce1 Ce 0.0785 0.5392 0.0000
Ce2 Ce 0.1310 0.2620 0.2553
Ce3 Ce 0.3333 0.6667 0.4192
Pd1 Pd 0.1906 0.3812 0.7138
```

***

Ce3Pd5: computed powder diffractogram (copper Kα), based on a PBE-relaxed structure.
Kinematic intensities with the Lorentz-polarization factor, no thermal factor.

Most intense lines, 2θ = 10–90°, by intensity:
| 2theta | I (rel.) | (hkl) |
| --- | --- | --- |
| 36.25 | 100 | 2 2 2 |
| 35.80 | 44 | 0 0 4 |
| 38.55 | 28 | 1 3 0 |
| 41.64 | 27 | 2 2 3 |
| 36.40 | 27 | 3 1 2 |
| 38.98 | 27 | 4 0 0 |
| 41.77 | 19 | 3 1 3 |
| 63.38 | 18 | 5 3 0 |
| 32.66 | 17 | 2 2 1 |
| 31.00 | 16 | 1 1 3 |
| 31.56 | 14 | 3 1 0 |
| 53.95 | 14 | 4 0 4 |

Structure:
```
data_Ce3Pd5
_cell_length_a 9.2424
_cell_length_b 7.2407
_cell_length_c 10.0331
_cell_angle_alpha 90.00
_cell_angle_beta 90.00
_cell_angle_gamma 90.00
_symmetry_space_group_name_H-M 'C m c m'
_symmetry_Int_Tables_number 63
_symmetry_space_group_name_Hall '-C 2c 2'
loop_
_atom_site_label
_atom_site_type_symbol
_atom_site_fract_x
_atom_site_fract_y
_atom_site_fract_z
Ce1 Ce 0.0000 0.1264 0.2500
Ce2 Ce 0.2001 0.5000 0.0000
Pd1 Pd 0.0000 0.1849 0.5482
Pd2 Pd 0.0000 0.4707 0.7500
Pd3 Pd 0.2235 0.2112 0.7500
```

***

CePd4: computed powder diffractogram (copper Kα), based on a PBE-relaxed structure.
Kinematic intensities with the Lorentz-polarization factor, no thermal factor.

Most intense lines, 2θ = 10–90°, by intensity:
| 2theta | I (rel.) | (hkl) |
| --- | --- | --- |
| 38.04 | 100 | 1 0 5 |
| 41.81 | 21 | 2 0 0 |
| 40.39 | 19 | 0 2 4 |
| 73.84 | 14 | 3 0 5 |
| 77.62 | 12 | 1 4 5 |
| 59.53 | 12 | 2 2 4 |
| 49.98 | 10 | 0 2 6 |
| 42.31 | 9 | 1 2 3 |
| 67.15 | 8 | 2 2 6 |
| 80.11 | 6 | 2 4 0 |
| 71.80 | 6 | 1 2 9 |
| 64.76 | 5 | 0 4 0 |

Structure:
```
data_CePd4
_cell_length_a 4.3213
_cell_length_b 5.7580
_cell_length_c 14.1544
_cell_angle_alpha 90.00
_cell_angle_beta 90.00
_cell_angle_gamma 90.00
_symmetry_space_group_name_H-M 'I m m a'
_symmetry_Int_Tables_number 74
_symmetry_space_group_name_Hall '-I 2b 2'
loop_
_atom_site_label
_atom_site_type_symbol
_atom_site_fract_x
_atom_site_fract_y
_atom_site_fract_z
Ce1 Ce 0.0000 0.2500 0.1096
Pd1 Pd 0.0000 0.0000 0.5000
Pd2 Pd 0.0000 0.0103 0.6940
Pd3 Pd 0.0000 0.2500 0.8956
```